# DyZrZnIr
Calculated X-ray powder pattern, copper Kα. Input: a DFT-relaxed cell (GGA-PBE, Alexandria).
Intensities are scaled so that the largest is 100.

Atomic structure:
abc: 6.8055 6.8055 6.8055
angles: 90.00 90.00 90.00
Space group F-43m (No. 216)
Unique sites:
Dy (0.0000, 0.0000, 0.0000) (multiplicity 4)
Zr (0.0000, 0.0000, 0.5000) (multiplicity 4)
Zn (0.2500, 0.2500, 0.7500) (multiplicity 4)
Ir (0.2500, 0.2500, 0.2500) (multiplicity 4)

Main lines, low angle first (2θ = 5–70°):
index, 2θ (°), I (rel.)
1 1 1, 22.63, 16
2 2 0, 37.37, 100
3 1 1, 44.14, 9
4 0 0, 53.89, 17
3 3 1, 59.18, 4
4 2 2, 67.42, 35